Structure and theoretical X-ray powder pattern of Y4Hf2Au3C3 (a cell relaxed with PBE; Cu Ka).

The 10 most intense peaks (15° ≤ 2θ ≤ 90°), sorted by position:
| 2θ (°) | d_spacing | I_rel |
| --- | --- | --- |
| 16.72 | 5.301 | 270 |
| 17.13 | 5.176 | 212 |
| 28.97 | 3.082 | 755 |
| 34.75 | 2.582 | 1000 |
| 34.80 | 2.578 | 984 |
| 34.93 | 2.568 | 965 |
| 38.36 | 2.346 | 475 |
| 51.31 | 1.780 | 374 |
| 63.47 | 1.466 | 274 |
| 65.72 | 1.421 | 199 |

Lattice parameters (Å, degrees): 6.160 6.160 14.498 101.93 101.93 60.12
Atoms (fractional coordinates):
Y 0.042 0.191 0.103
Y 0.124 0.300 0.397
Y 0.191 0.042 0.603
Y 0.300 0.124 0.897
Y 0.700 0.876 0.103
Y 0.809 0.958 0.397
Y 0.876 0.700 0.603
Y 0.958 0.809 0.897
Hf 0.347 0.526 0.079
Hf 0.474 0.653 0.421
Hf 0.526 0.347 0.579
Hf 0.653 0.474 0.921
Au 0.140 0.860 0.250
Au 0.305 0.415 0.750
Au 0.415 0.305 0.250
Au 0.585 0.695 0.750
Au 0.695 0.585 0.250
Au 0.860 0.140 0.750
C 0.000 0.500 0.000
C 0.200 0.650 0.500
C 0.350 0.800 0.000
C 0.500 0.000 0.500
C 0.650 0.200 0.000
C 0.800 0.350 0.500

---

Structure and theoretical X-ray powder pattern of InAg10 (a cell relaxed with PBE; Cu Ka).

The 10 most intense peaks (15° ≤ 2θ ≤ 90°), sorted by position:
| 2θ (°) | d_spacing | I_rel |
| --- | --- | --- |
| 35.82 | 2.507 | 335 |
| 38.11 | 2.362 | 1000 |
| 38.91 | 2.315 | 146 |
| 40.13 | 2.247 | 80 |
| 42.82 | 2.112 | 184 |
| 43.62 | 2.075 | 127 |
| 45.02 | 2.014 | 285 |
| 63.89 | 1.457 | 156 |
| 75.30 | 1.262 | 109 |
| 78.47 | 1.219 | 112 |

Lattice parameters (Å, degrees): 4.974 4.974 30.891 90.36 90.36 47.73
Atoms (fractional coordinates):
In 0.154 0.154 0.170
In 0.846 0.846 0.830
Ag 0.046 0.046 0.702
Ag 0.051 0.051 0.392
Ag 0.143 0.143 0.798
Ag 0.151 0.151 0.485
Ag 0.250 0.250 0.578
Ag 0.257 0.257 0.268
Ag 0.347 0.347 0.671
Ag 0.353 0.353 0.361
Ag 0.444 0.444 0.764
Ag 0.451 0.451 0.454
Ag 0.549 0.549 0.546
Ag 0.556 0.556 0.236
Ag 0.647 0.647 0.639
Ag 0.653 0.653 0.329
Ag 0.743 0.743 0.732
Ag 0.750 0.750 0.422
Ag 0.849 0.849 0.515
Ag 0.857 0.857 0.202
Ag 0.949 0.949 0.608
Ag 0.954 0.954 0.298

---

Structure and theoretical X-ray powder pattern of NdPdO3 (a cell relaxed with PBE; Cu Ka).

The 10 most intense peaks (15° ≤ 2θ ≤ 90°), sorted by position:
| 2θ (°) | d_spacing | I_rel |
| --- | --- | --- |
| 24.84 | 3.584 | 172 |
| 30.03 | 2.975 | 196 |
| 32.04 | 2.794 | 1000 |
| 32.24 | 2.776 | 109 |
| 32.46 | 2.758 | 249 |
| 44.81 | 2.023 | 170 |
| 47.05 | 1.931 | 133 |
| 50.29 | 1.814 | 134 |
| 57.64 | 1.599 | 216 |
| 58.32 | 1.582 | 109 |

Lattice parameters (Å, degrees): 5.951 7.726 5.517 90.00 90.00 90.00
Atoms (fractional coordinates):
Nd 0.077 0.250 0.025
Nd 0.423 0.750 0.525
Nd 0.577 0.250 0.475
Nd 0.923 0.750 0.975
Pd 0.000 0.000 0.500
Pd 0.000 0.500 0.500
Pd 0.500 0.000 0.000
Pd 0.500 0.500 0.000
O 0.042 0.750 0.381
O 0.196 0.554 0.811
O 0.196 0.946 0.811
O 0.304 0.054 0.311
O 0.304 0.446 0.311
O 0.458 0.250 0.881
O 0.542 0.750 0.119
O 0.696 0.554 0.689
O 0.696 0.946 0.689
O 0.804 0.054 0.189
O 0.804 0.446 0.189
O 0.958 0.250 0.619

---

Structure and theoretical X-ray powder pattern of Cs2KTcCl6 (a cell relaxed with PBE; Cu Ka).

The 10 most intense peaks (15° ≤ 2θ ≤ 90°), sorted by position:
| 2θ (°) | d_spacing | I_rel |
| --- | --- | --- |
| 23.38 | 3.805 | 1000 |
| 28.74 | 3.106 | 375 |
| 33.30 | 2.690 | 647 |
| 41.09 | 2.197 | 414 |
| 47.81 | 1.902 | 416 |
| 53.88 | 1.701 | 236 |
| 56.75 | 1.622 | 120 |
| 59.52 | 1.553 | 133 |
| 64.84 | 1.438 | 251 |
| 79.70 | 1.203 | 158 |

Lattice parameters (Å, degrees): 7.609 7.609 7.609 60.00 60.00 60.00
Atoms (fractional coordinates):
Cs 0.250 0.250 0.250
Cs 0.750 0.750 0.750
K 0.000 0.000 0.000
Tc 0.500 0.500 0.500
Cl 0.276 0.276 0.724
Cl 0.276 0.724 0.276
Cl 0.276 0.724 0.724
Cl 0.724 0.276 0.276
Cl 0.724 0.276 0.724
Cl 0.724 0.724 0.276

---

Question: Which formula does entry 3 have?
Answer: NdPdO3